[1]
VIn4Br6: calculated powder diffraction line list (copper Kα), based on a cell relaxed with PBE.
Neutral-atom scattering factors, no anomalous dispersion.

Peak list (10 most intense, 15 to 90 degrees two-theta, by intensity)
- 29.86 deg, d 2.992, rel. 100, (2 1 2)
- 33.09 deg, d 2.707, rel. 35, (3 1 0)
- 37.50 deg, d 2.398, rel. 20, (0 0 4)
- 50.87 deg, d 1.795, rel. 18, (3 1 4)
- 47.73 deg, d 1.906, rel. 14, (4 1 2)
- 38.18 deg, d 2.357, rel. 14, (3 1 2)
- 63.00 deg, d 1.475, rel. 11, (2 1 6)
- 29.52 deg, d 3.026, rel. 8, (2 2 0)
- 64.58 deg, d 1.443, rel. 8, (4 4 2)
- 47.50 deg, d 1.914, rel. 7, (4 2 0)

Structural model:
a = 8.560 Å, b = 8.560 Å, c = 9.593 Å
α = 90.00°, β = 90.00°, γ = 90.00°
Space group P4/mnc (No. 128)
Inequivalent atoms, fractional coordinates:
1 V 0.000 0.000 0.000
2 In 0.146 0.354 0.250
3 Br 0.000 0.000 0.274
4 Br 0.144 0.724 0.000

---

[2]
VIn2Br5: calculated powder diffraction line list (copper Kα), based on a cell relaxed with PBE.
Neutral-atom scattering factors, no anomalous dispersion.

Peak list (10 most intense, 15 to 90 degrees two-theta, by intensity)
- 33.45 deg, d 2.679, rel. 100, (2 -1 0)
- 29.33 deg, d 3.045, rel. 72, (1 -1 2)
- 33.66 deg, d 2.662, rel. 44, (-1 1 2)
- 20.60 deg, d 4.311, rel. 43, (1 0 -1)
- 40.03 deg, d 2.252, rel. 34, (1 -3 2)
- 26.96 deg, d 3.307, rel. 31, (0 2 -1)
- 31.83 deg, d 2.812, rel. 30, (1 1 -2)
- 28.78 deg, d 3.102, rel. 29, (0 2 0)
- 22.38 deg, d 3.972, rel. 29, (0 1 1)
- 55.39 deg, d 1.659, rel. 23, (-1 3 2)

Structural model:
a = 5.355 Å, b = 7.163 Å, c = 7.431 Å
α = 109.38°, β = 90.05°, γ = 111.93°
Space group P1 (No. 1)
Inequivalent atoms, fractional coordinates:
1 V 0.000 0.000 0.000
2 In 0.368 0.732 0.348
3 In 0.633 0.268 0.650
4 Br 0.134 0.268 0.346
5 Br 0.155 0.310 0.880
6 Br 0.500 0.000 0.001
7 Br 0.845 0.690 0.120
8 Br 0.866 0.733 0.654

---

[3]
YIn3Br6: calculated powder diffraction line list (copper Kα), based on a cell relaxed with PBE.
Neutral-atom scattering factors, no anomalous dispersion.

Peak list (10 most intense, 15 to 90 degrees two-theta, by intensity)
- 31.83 deg, d 2.812, rel. 100, (0 0 4)
- 39.30 deg, d 2.292, rel. 89, (3 1 -1)
- 27.23 deg, d 3.275, rel. 79, (1 0 -4)
- 29.13 deg, d 3.065, rel. 74, (1 1 -4)
- 31.21 deg, d 2.866, rel. 73, (2 2 -2)
- 22.72 deg, d 3.914, rel. 71, (1 1 -3)
- 33.83 deg, d 2.650, rel. 71, (1 3 0)
- 21.56 deg, d 4.122, rel. 70, (1 1 1)
- 41.33 deg, d 2.185, rel. 60, (3 1 -5)
- 28.00 deg, d 3.186, rel. 59, (1 2 1)

Structural model:
a = 7.636 Å, b = 8.700 Å, c = 13.175 Å
α = 90.00°, β = 121.39°, γ = 90.00°
Space group P2_1/c (No. 14)
Inequivalent atoms, fractional coordinates:
1 Y 0.000 0.000 0.000
2 In 0.303 0.081 0.776
3 In 0.500 0.000 0.500
4 Br 0.093 0.069 0.232
5 Br 0.242 0.731 0.083
6 Br 0.349 0.164 0.040

---

[4]
ZnInBr: calculated powder diffraction line list (copper Kα), based on a cell relaxed with PBE.
Neutral-atom scattering factors, no anomalous dispersion.

Peak list (10 most intense, 15 to 90 degrees two-theta, by intensity)
- 36.67 deg, d 2.451, rel. 100, (1 1 1)
- 27.94 deg, d 3.194, rel. 59, (0 1 1)
- 39.57 deg, d 2.277, rel. 40, (1 0 2)
- 23.27 deg, d 3.823, rel. 24, (1 0 0)
- 28.15 deg, d 3.170, rel. 20, (1 0 1)
- 63.10 deg, d 1.473, rel. 19, (1 2 2)
- 15.63 deg, d 5.670, rel. 18, (0 0 1)
- 39.42 deg, d 2.286, rel. 18, (0 1 2)
- 47.02 deg, d 1.932, rel. 16, (0 2 0)
- 56.07 deg, d 1.640, rel. 16, (2 1 1)

Structural model:
a = 3.823 Å, b = 3.865 Å, c = 5.670 Å
α = 90.00°, β = 90.00°, γ = 90.00°
Space group Pmm2 (No. 25)
Inequivalent atoms, fractional coordinates:
1 Zn 0.000 0.000 0.000
2 In 0.500 0.500 0.794
3 Br 0.500 0.000 0.359

---

[5]
ZnInBr3: calculated powder diffraction line list (copper Kα), based on a cell relaxed with PBE.
Neutral-atom scattering factors, no anomalous dispersion.

Peak list (10 most intense, 15 to 90 degrees two-theta, by intensity)
- 27.76 deg, d 3.214, rel. 100, (0 2 0)
- 27.92 deg, d 3.196, rel. 65, (2 1 -4)
- 23.44 deg, d 3.795, rel. 60, (1 0 2)
- 18.30 deg, d 4.849, rel. 60, (1 1 -2)
- 32.81 deg, d 2.730, rel. 49, (0 1 4)
- 36.64 deg, d 2.453, rel. 38, (1 2 2)
- 31.37 deg, d 2.851, rel. 31, (3 1 -2)
- 55.50 deg, d 1.656, rel. 30, (1 1 6)
- 32.15 deg, d 2.784, rel. 29, (3 1 -4)
- 34.04 deg, d 2.634, rel. 24, (2 0 2)

Structural model:
a = 9.753 Å, b = 6.427 Å, c = 15.075 Å
α = 90.00°, β = 126.87°, γ = 90.00°
Space group P2_1/c (No. 14)
Inequivalent atoms, fractional coordinates:
1 Zn 0.160 0.152 0.291
2 In 0.361 0.722 0.571
3 Br 0.132 0.738 0.783
4 Br 0.271 0.239 0.192
5 Br 0.367 0.240 0.486

---

[6]
ZnInBr: calculated powder diffraction line list (copper Kα), based on a cell relaxed with PBE.
Neutral-atom scattering factors, no anomalous dispersion.

Peak list (10 most intense, 15 to 90 degrees two-theta, by intensity)
- 25.29 deg, d 3.522, rel. 100, (-1 1 1)
- 15.29 deg, d 5.796, rel. 50, (0 0 1)
- 37.41 deg, d 2.404, rel. 45, (2 0 -1)
- 30.85 deg, d 2.898, rel. 40, (0 0 2)
- 36.94 deg, d 2.433, rel. 38, (1 2 -1)
- 43.29 deg, d 2.090, rel. 26, (1 2 -2)
- 36.52 deg, d 2.461, rel. 23, (1 -2 0)
- 34.33 deg, d 2.612, rel. 20, (0 1 -2)
- 37.02 deg, d 2.428, rel. 18, (1 2 0)
- 46.68 deg, d 1.946, rel. 17, (-1 1 3)

Structural model:
a = 4.809 Å, b = 5.837 Å, c = 6.230 Å
α = 90.63°, β = 111.48°, γ = 90.54°
Space group P1 (No. 1)
Inequivalent atoms, fractional coordinates:
1 Zn 0.000 0.000 0.000
2 Zn 0.491 0.234 0.983
3 In 0.058 0.465 0.120
4 In 0.579 0.777 0.162
5 Br 0.340 0.233 0.551
6 Br 0.876 0.740 0.638

---

[7]
ZnInBr4: calculated powder diffraction line list (copper Kα), based on a cell relaxed with PBE.
Neutral-atom scattering factors, no anomalous dispersion.

Peak list (10 most intense, 15 to 90 degrees two-theta, by intensity)
- 24.89 deg, d 3.577, rel. 100, (1 1 2)
- 35.51 deg, d 2.528, rel. 40, (2 2 0)
- 43.74 deg, d 2.070, rel. 37, (0 2 4)
- 15.22 deg, d 5.820, rel. 32, (1 0 1)
- 15.12 deg, d 5.860, rel. 25, (0 1 1)
- 43.91 deg, d 2.062, rel. 24, (2 0 4)
- 33.07 deg, d 2.709, rel. 20, (1 2 2)
- 17.52 deg, d 5.061, rel. 19, (0 0 2)
- 29.37 deg, d 3.041, rel. 19, (2 1 1)
- 46.79 deg, d 1.941, rel. 15, (3 0 3)

Structural model:
a = 7.114 Å, b = 7.186 Å, c = 10.122 Å
α = 90.00°, β = 90.00°, γ = 90.00°
Space group P222 (No. 16)
Inequivalent atoms, fractional coordinates:
1 Zn 0.000 0.000 0.000
2 Zn 0.500 0.000 0.500
3 In 0.000 0.000 0.500
4 In 0.000 0.500 0.000
5 Br 0.195 0.210 0.866
6 Br 0.287 0.207 0.378

---

[8]
Zn2InBr6: calculated powder diffraction line list (copper Kα), based on a cell relaxed with PBE.
Neutral-atom scattering factors, no anomalous dispersion.

Peak list (10 most intense, 15 to 90 degrees two-theta, by intensity)
- 26.34 deg, d 3.383, rel. 100, (1 3 1)
- 30.04 deg, d 2.975, rel. 72, (3 3 -1)
- 44.77 deg, d 2.024, rel. 69, (5 3 1)
- 43.48 deg, d 2.081, rel. 67, (1 3 -3)
- 21.31 deg, d 4.169, rel. 57, (3 1 0)
- 25.91 deg, d 3.439, rel. 50, (2 0 -2)
- 31.57 deg, d 2.834, rel. 41, (2 0 2)
- 43.09 deg, d 2.099, rel. 35, (6 0 -2)
- 24.90 deg, d 3.576, rel. 33, (2 2 1)
- 26.92 deg, d 3.312, rel. 32, (4 0 0)

Structural model:
a = 13.618 Å, b = 12.650 Å, c = 7.191 Å
α = 90.00°, β = 103.38°, γ = 90.00°
Space group C2/c (No. 15)
Inequivalent atoms, fractional coordinates:
1 Zn 0.197 0.076 0.297
2 In 0.000 0.371 0.250
3 Br 0.117 0.428 0.634
4 Br 0.134 0.236 0.120
5 Br 0.135 0.077 0.591

---

[9]
ZrInBr2: calculated powder diffraction line list (copper Kα), based on a cell relaxed with PBE.
Neutral-atom scattering factors, no anomalous dispersion.

Peak list (10 most intense, 15 to 90 degrees two-theta, by intensity)
- 31.49 deg, d 2.841, rel. 100, (1 0 4)
- 38.04 deg, d 2.365, rel. 42, (0 1 8)
- 51.43 deg, d 1.777, rel. 27, (1 1 0)
- 44.76 deg, d 2.025, rel. 19, (0 1 11)
- 36.11 deg, d 2.488, rel. 17, (1 0 7)
- 71.47 deg, d 1.320, rel. 14, (1 1 15)
- 61.56 deg, d 1.506, rel. 14, (0 2 4)
- 84.28 deg, d 1.149, rel. 12, (2 1 4)
- 17.99 deg, d 4.930, rel. 10, (0 0 6)
- 67.42 deg, d 1.389, rel. 10, (1 0 19)

Structural model:
a = 3.5535 Å, b = 3.5535 Å, c = 29.5777 Å
α = 90.00°, β = 90.00°, γ = 120.00°
Space group R3m (No. 160, hexagonal axes)
Inequivalent atoms, fractional coordinates:
1 Zr 0.0000 0.0000 0.0000
2 In 0.0000 0.0000 0.2536
3 Br 0.0000 0.0000 0.5184
4 Br 0.0000 0.0000 0.7289

---

[10]
KIrBr: calculated powder diffraction line list (copper Kα), based on a cell relaxed with PBE.
Neutral-atom scattering factors, no anomalous dispersion.

Peak list (10 most intense, 15 to 90 degrees two-theta, by intensity)
- 29.72 deg, d 3.006, rel. 100, (1 0 1)
- 17.28 deg, d 5.132, rel. 81, (0 0 1)
- 42.21 deg, d 2.141, rel. 47, (1 1 0)
- 45.93 deg, d 1.976, rel. 41, (1 1 1)
- 55.93 deg, d 1.644, rel. 40, (1 1 2)
- 24.00 deg, d 3.708, rel. 36, (1 0 0)
- 34.97 deg, d 2.566, rel. 26, (0 0 2)
- 52.47 deg, d 1.744, rel. 20, (2 0 1)
- 69.53 deg, d 1.352, rel. 17, (2 1 1)
- 42.86 deg, d 2.110, rel. 17, (1 0 2)

Structural model:
a = 4.2819 Å, b = 4.2819 Å, c = 5.1318 Å
α = 90.00°, β = 90.00°, γ = 120.00°
Space group P-6m2 (No. 187)
Inequivalent atoms, fractional coordinates:
1 K 0.0000 0.0000 0.0000
2 Ir 0.3333 0.6667 0.5000
3 Br 0.6667 0.3333 0.5000

---

[11]
KIrBr6: calculated powder diffraction line list (copper Kα), based on a cell relaxed with PBE.
Neutral-atom scattering factors, no anomalous dispersion.

Peak list (10 most intense, 15 to 90 degrees two-theta, by intensity)
- 15.13 deg, d 5.856, rel. 100, (1 0 0)
- 15.55 deg, d 5.698, rel. 93, (1 1 1)
- 28.68 deg, d 3.113, rel. 92, (-1 1 1)
- 23.77 deg, d 3.743, rel. 87, (1 0 -1)
- 17.22 deg, d 5.149, rel. 81, (1 1 0)
- 43.04 deg, d 2.101, rel. 53, (1 3 0)
- 29.82 deg, d 2.996, rel. 51, (2 1 2)
- 38.23 deg, d 2.354, rel. 50, (-1 1 2)
- 24.57 deg, d 3.624, rel. 44, (1 1 2)
- 39.50 deg, d 2.281, rel. 42, (-1 2 1)

Structural model:
a = 6.985 Å, b = 7.095 Å, c = 7.277 Å
α = 62.82°, β = 63.46°, γ = 61.18°
Space group P-1 (No. 2)
Inequivalent atoms, fractional coordinates:
1 K 0.000 0.000 0.000
2 Ir 0.500 0.500 0.500
3 Br 0.107 0.655 0.728
4 Br 0.334 0.489 0.268
5 Br 0.487 0.893 0.276

---

[12]
La8Ir3Br4N: calculated powder diffraction line list (copper Kα), based on a cell relaxed with PBE.
Neutral-atom scattering factors, no anomalous dispersion.

Peak list (10 most intense, 15 to 90 degrees two-theta, by intensity)
- 29.43 deg, d 3.035, rel. 100, (2 2 -2)
- 28.76 deg, d 3.105, rel. 61, (4 0 0)
- 43.43 deg, d 2.084, rel. 40, (6 2 -2)
- 39.73 deg, d 2.269, rel. 34, (2 2 2)
- 36.82 deg, d 2.441, rel. 20, (2 2 -3)
- 54.05 deg, d 1.697, rel. 19, (4 4 0)
- 44.73 deg, d 2.026, rel. 19, (0 4 0)
- 39.32 deg, d 2.291, rel. 13, (4 0 -4)
- 49.63 deg, d 1.837, rel. 12, (2 2 3)
- 70.43 deg, d 1.337, rel. 10, (10 2 -2)

Structural model:
a = 14.579 Å, b = 8.103 Å, c = 9.242 Å
α = 90.00°, β = 121.59°, γ = 90.00°
Space group C2/m (No. 12)
Inequivalent atoms, fractional coordinates:
1 La 0.012 0.231 0.314
2 La 0.236 0.000 0.697
3 La 0.236 0.500 0.699
4 Ir 0.000 0.500 0.500
5 Ir 0.250 0.250 0.500
6 Br 0.000 0.000 0.000
7 Br 0.000 0.500 0.000
8 Br 0.250 0.250 0.000
9 N 0.000 0.000 0.500